NdDyTe2O8: calculated powder diffraction line list (Cu Kα (λ = 1.5418 Å)), based on a GGA-PBE-relaxed structure.

Principal peaks in the range 10° ≤ 2θ ≤ 90°, by angle:
d/Å  intensity
3.744  100
2.894  80
2.647  26
1.953  67
1.872  16
1.674  16
1.572  20
1.569  15
1.352  15
1.203  25

Crystal structure
```
data_NdDyTe2O8
_chemical_formula_sum 'Nd2 Dy2 Te4 O16'
_cell_length_a 7.4879
_cell_length_b 7.4879
_cell_length_c 6.9128
_cell_angle_alpha 90.00
_cell_angle_beta 90.00
_cell_angle_gamma 90.00
_symmetry_space_group_name_H-M 'I -4 m 2'
_symmetry_Int_Tables_number 119
_symmetry_space_group_name_Hall 'I -4 -2'
loop_
_atom_site_label
_atom_site_type_symbol
_atom_site_fract_x
_atom_site_fract_y
_atom_site_fract_z
Nd1 Nd 0.0000 0.0000 0.0000
Dy1 Dy 0.0000 0.5000 0.2500
Te1 Te 0.0000 0.0000 0.5000
Te2 Te 0.0000 0.5000 0.7500
O1 O 0.0000 0.1893 0.3018
O2 O 0.0000 0.3199 0.9489
```

Nd5DyP6: calculated powder diffraction line list (Cu Kα (λ = 1.5418 Å)), based on a GGA-PBE-relaxed structure.

Principal peaks in the range 10° ≤ 2θ ≤ 90°, by angle:
d/Å  intensity
3.382  81
2.929  100
2.071  73
1.766  40
1.691  26
1.465  12
1.344  16
1.310  33
1.196  25
1.127  13

Crystal structure
```
data_Nd5DyP6
_chemical_formula_sum 'Nd10 Dy2 P12'
_cell_length_a 7.1764
_cell_length_b 12.4256
_cell_length_c 7.1743
_cell_angle_alpha 90.00
_cell_angle_beta 109.48
_cell_angle_gamma 90.00
_symmetry_space_group_name_H-M 'C 1 2/m 1'
_symmetry_Int_Tables_number 12
loop_
_symmetry_equiv_pos_as_xyz
'x,y,z'
'-x,-y,-z'
'-x,y,-z'
'x,-y,z'
'x+1/2,y+1/2,z'
'-x+1/2,-y+1/2,-z'
'-x+1/2,y+1/2,-z'
'x+1/2,-y+1/2,z'
loop_
_atom_site_label
_atom_site_type_symbol
_atom_site_fract_x
_atom_site_fract_y
_atom_site_fract_z
Nd1 Nd 0.0000 0.0000 0.0000
Nd2 Nd 0.0000 0.1664 0.5000
Nd3 Nd 0.0000 0.3326 0.0000
Dy1 Dy 0.0000 0.5000 0.5000
P1 P 0.2462 0.3359 0.7465
P2 P 0.2458 0.5000 0.2528
```

NdDyPa2P4: calculated powder diffraction line list (Cu Kα (λ = 1.5418 Å)), based on a GGA-PBE-relaxed structure.

Principal peaks in the range 10° ≤ 2θ ≤ 90°, by angle:
d/Å  intensity
3.283  99
2.843  100
2.010  74
1.714  49
1.641  26
1.422  12
1.305  20
1.271  34
1.161  26
1.094  16

Crystal structure
```
data_NdDyPa2P4
_chemical_formula_sum 'Nd1 Dy1 Pa2 P4'
_cell_length_a 6.9630
_cell_length_b 4.0195
_cell_length_c 6.9670
_cell_angle_alpha 90.00
_cell_angle_beta 109.45
_cell_angle_gamma 90.00
_symmetry_space_group_name_H-M 'P 1 2/m 1'
_symmetry_Int_Tables_number 10
loop_
_symmetry_equiv_pos_as_xyz
'x,y,z'
'-x,-y,-z'
'-x,y,-z'
'x,-y,z'
loop_
_atom_site_label
_atom_site_type_symbol
_atom_site_fract_x
_atom_site_fract_y
_atom_site_fract_z
Nd1 Nd 0.0000 0.0000 0.0000
Dy1 Dy 0.5000 0.5000 0.0000
Pa1 Pa 0.0000 0.5000 0.5000
Pa2 Pa 0.5000 0.0000 0.5000
P1 P 0.2514 0.0000 0.7412
P2 P 0.2587 0.5000 0.2624
```

Tb2NdDyP4: calculated powder diffraction line list (Cu Kα (λ = 1.5418 Å)), based on a GGA-PBE-relaxed structure.

Principal peaks in the range 10° ≤ 2θ ≤ 90°, by angle:
d/Å  intensity
3.314  85
2.870  100
2.029  73
1.731  42
1.657  26
1.435  12
1.317  17
1.284  33
1.172  25
1.105  13

Crystal structure
```
data_Tb2NdDyP4
_chemical_formula_sum 'Tb4 Nd2 Dy2 P8'
_cell_length_a 5.7396
_cell_length_b 5.7396
_cell_length_c 11.4822
_cell_angle_alpha 90.00
_cell_angle_beta 90.00
_cell_angle_gamma 90.00
_symmetry_space_group_name_H-M 'I 4/m m m'
_symmetry_Int_Tables_number 139
_symmetry_space_group_name_Hall '-I 4 2'
loop_
_atom_site_label
_atom_site_type_symbol
_atom_site_fract_x
_atom_site_fract_y
_atom_site_fract_z
Tb1 Tb 0.0000 0.5000 0.2500
Nd1 Nd 0.0000 0.0000 0.0000
Dy1 Dy 0.0000 0.0000 0.5000
P1 P 0.0000 0.0000 0.2538
P2 P 0.0000 0.5000 0.0000
```

Nd2DyTmP4: calculated powder diffraction line list (Cu Kα (λ = 1.5418 Å)), based on a GGA-PBE-relaxed structure.

Principal peaks in the range 10° ≤ 2θ ≤ 90°, by angle:
d/Å  intensity
3.326  85
2.881  100
2.037  73
1.737  42
1.663  26
1.440  12
1.322  17
1.288  33
1.176  19
1.109  13

Crystal structure
```
data_Nd2DyTmP4
_chemical_formula_sum 'Nd2 Dy1 Tm1 P4'
_cell_length_a 7.0509
_cell_length_b 4.0764
_cell_length_c 7.0567
_cell_angle_alpha 90.00
_cell_angle_beta 109.48
_cell_angle_gamma 90.00
_symmetry_space_group_name_H-M 'P 1 2/m 1'
_symmetry_Int_Tables_number 10
loop_
_symmetry_equiv_pos_as_xyz
'x,y,z'
'-x,-y,-z'
'-x,y,-z'
'x,-y,z'
loop_
_atom_site_label
_atom_site_type_symbol
_atom_site_fract_x
_atom_site_fract_y
_atom_site_fract_z
Nd1 Nd 0.0000 0.0000 0.0000
Nd2 Nd 0.0000 0.5000 0.5000
Dy1 Dy 0.5000 0.0000 0.5000
Tm1 Tm 0.5000 0.5000 0.0000
P1 P 0.2609 0.5000 0.2520
P2 P 0.2620 0.0000 0.7556
```

NdDyPa2Rh4: calculated powder diffraction line list (Cu Kα (λ = 1.5418 Å)), based on a GGA-PBE-relaxed structure.

Principal peaks in the range 10° ≤ 2θ ≤ 90°, by angle:
d/Å  intensity
3.139  18
2.832  100
2.748  60
2.517  28
2.108  13
1.972  69
1.968  17
1.912  16
1.569  16
1.236  14

Crystal structure
```
data_NdDyPa2Rh4
_chemical_formula_sum 'Nd4 Dy4 Pa8 Rh16'
_cell_length_a 7.6469
_cell_length_b 10.9915
_cell_length_c 8.4302
_cell_angle_alpha 90.00
_cell_angle_beta 90.00
_cell_angle_gamma 90.00
_symmetry_space_group_name_H-M 'F m m 2'
_symmetry_Int_Tables_number 42
_symmetry_space_group_name_Hall 'F 2 -2'
loop_
_atom_site_label
_atom_site_type_symbol
_atom_site_fract_x
_atom_site_fract_y
_atom_site_fract_z
Nd1 Nd 0.0000 0.0000 0.0000
Dy1 Dy 0.0000 0.0000 0.4163
Pa1 Pa 0.2500 0.2500 0.2643
Rh1 Rh 0.0000 0.2335 0.5249
Rh2 Rh 0.1953 0.0000 0.7129
```

Nd2DyPaSb4: calculated powder diffraction line list (Cu Kα (λ = 1.5418 Å)), based on a GGA-PBE-relaxed structure.

Principal peaks in the range 10° ≤ 2θ ≤ 90°, by angle:
d/Å  intensity
3.145  100
2.226  51
2.220  26
1.821  7
1.814  21
1.573  13
1.408  17
1.405  12
1.287  6
1.283  17

Crystal structure
```
data_Nd2DyPaSb4
_chemical_formula_sum 'Nd2 Dy1 Pa1 Sb4'
_cell_length_a 7.6862
_cell_length_b 4.4444
_cell_length_c 7.7215
_cell_angle_alpha 90.00
_cell_angle_beta 109.35
_cell_angle_gamma 90.00
_symmetry_space_group_name_H-M 'P 1 2/m 1'
_symmetry_Int_Tables_number 10
loop_
_symmetry_equiv_pos_as_xyz
'x,y,z'
'-x,-y,-z'
'-x,y,-z'
'x,-y,z'
loop_
_atom_site_label
_atom_site_type_symbol
_atom_site_fract_x
_atom_site_fract_y
_atom_site_fract_z
Nd1 Nd 0.0000 0.0000 0.0000
Nd2 Nd 0.5000 0.5000 0.0000
Dy1 Dy 0.0000 0.5000 0.5000
Pa1 Pa 0.5000 0.0000 0.5000
Sb1 Sb 0.2482 0.0000 0.7394
Sb2 Sb 0.2537 0.5000 0.2600
```

Nd12Dy7Pb: calculated powder diffraction line list (Cu Kα (λ = 1.5418 Å)), based on a GGA-PBE-relaxed structure.

Principal peaks in the range 10° ≤ 2θ ≤ 90°, by angle:
d/Å  intensity
8.208  25
4.104  36
3.351  61
2.902  100
2.475  22
2.369  34
2.052  60
1.675  17
1.474  19
1.368  20

Crystal structure
```
data_Nd12Dy7Pb
_chemical_formula_sum 'Nd24 Dy14 Pb2'
_cell_length_a 11.6080
_cell_length_b 11.6080
_cell_length_c 11.6080
_cell_angle_alpha 90.00
_cell_angle_beta 90.00
_cell_angle_gamma 90.00
_symmetry_space_group_name_H-M 'I m -3 m'
_symmetry_Int_Tables_number 229
_symmetry_space_group_name_Hall '-I 4 2 3'
loop_
_atom_site_label
_atom_site_type_symbol
_atom_site_fract_x
_atom_site_fract_y
_atom_site_fract_z
Nd1 Nd 0.0000 0.2193 0.2193
Dy1 Dy 0.0000 0.0000 0.5000
Dy2 Dy 0.2500 0.2500 0.2500
Pb1 Pb 0.0000 0.0000 0.0000
```

Nd3DyPb5: calculated powder diffraction line list (Cu Kα (λ = 1.5418 Å)), based on a GGA-PBE-relaxed structure.

Principal peaks in the range 10° ≤ 2θ ≤ 90°, by angle:
d/Å  intensity
2.870  41
2.808  88
2.740  100
2.204  12
1.961  30
1.816  11
1.607  28
1.475  11
1.428  23
1.249  14

Crystal structure
```
data_Nd3DyPb5
_chemical_formula_sum 'Nd6 Dy2 Pb10'
_cell_length_a 9.7280
_cell_length_b 9.7280
_cell_length_c 6.6310
_cell_angle_alpha 90.00
_cell_angle_beta 90.00
_cell_angle_gamma 120.00
_symmetry_space_group_name_H-M 'P 63/m c m'
_symmetry_Int_Tables_number 193
_symmetry_space_group_name_Hall '-P 6c 2'
loop_
_atom_site_label
_atom_site_type_symbol
_atom_site_fract_x
_atom_site_fract_y
_atom_site_fract_z
Nd1 Nd 0.0000 0.3817 0.2500
Dy1 Dy 0.0000 0.0000 0.0000
Pb1 Pb 0.0000 0.2834 0.7500
Pb2 Pb 0.3333 0.6667 0.0000
```

Nd3DyPb2: calculated powder diffraction line list (Cu Kα (λ = 1.5418 Å)), based on a GGA-PBE-relaxed structure.

Principal peaks in the range 10° ≤ 2θ ≤ 90°, by angle:
d/Å  intensity
3.302  22
3.095  74
2.956  36
2.648  100
2.497  23
2.335  57
1.832  36
1.651  20
1.441  17
1.401  29

Crystal structure
```
data_Nd3DyPb2
_chemical_formula_sum 'Nd3 Dy1 Pb2'
_cell_length_a 4.6700
_cell_length_b 4.6700
_cell_length_c 8.8665
_cell_angle_alpha 90.00
_cell_angle_beta 90.00
_cell_angle_gamma 90.00
_symmetry_space_group_name_H-M 'P -4 m 2'
_symmetry_Int_Tables_number 115
loop_
_symmetry_equiv_pos_as_xyz
'x,y,z'
'y,-x,-z'
'-x,-y,z'
'-y,x,-z'
'-x,y,z'
'-y,-x,-z'
'x,-y,z'
'y,x,-z'
loop_
_atom_site_label
_atom_site_type_symbol
_atom_site_fract_x
_atom_site_fract_y
_atom_site_fract_z
Nd1 Nd 0.0000 0.0000 0.0000
Nd2 Nd 0.0000 0.5000 0.6538
Dy1 Dy 0.5000 0.5000 0.0000
Pb1 Pb 0.0000 0.5000 0.2813
```

Nd2DyPb9: calculated powder diffraction line list (Cu Kα (λ = 1.5418 Å)), based on a GGA-PBE-relaxed structure.

Principal peaks in the range 10° ≤ 2θ ≤ 90°, by angle:
d/Å  intensity
2.837  100
2.457  51
1.737  36
1.481  43
1.418  13
1.229  4
1.227  2
1.127  19
1.099  12
1.098  6

Crystal structure
```
data_Nd2DyPb9
_chemical_formula_sum 'Nd2 Dy1 Pb9'
_cell_length_a 4.9155
_cell_length_b 4.9155
_cell_length_c 14.7289
_cell_angle_alpha 90.00
_cell_angle_beta 90.00
_cell_angle_gamma 90.00
_symmetry_space_group_name_H-M 'P 4/m m m'
_symmetry_Int_Tables_number 123
_symmetry_space_group_name_Hall '-P 4 2'
loop_
_atom_site_label
_atom_site_type_symbol
_atom_site_fract_x
_atom_site_fract_y
_atom_site_fract_z
Nd1 Nd 0.0000 0.0000 0.1679
Dy1 Dy 0.0000 0.0000 0.5000
Pb1 Pb 0.0000 0.5000 0.0000
Pb2 Pb 0.0000 0.5000 0.3368
Pb3 Pb 0.5000 0.5000 0.1684
Pb4 Pb 0.5000 0.5000 0.5000
```

NdDyPb2: calculated powder diffraction line list (Cu Kα (λ = 1.5418 Å)), based on a GGA-PBE-relaxed structure.

Principal peaks in the range 10° ≤ 2θ ≤ 90°, by angle:
d/Å  intensity
3.101  100
2.960  41
2.492  89
2.295  26
2.250  25
1.814  20
1.791  19
1.607  18
1.497  18
1.412  18

Crystal structure
```
data_NdDyPb2
_chemical_formula_sum 'Nd1 Dy1 Pb2'
_cell_length_a 4.5894
_cell_length_b 4.4999
_cell_length_c 6.3474
_cell_angle_alpha 90.00
_cell_angle_beta 111.13
_cell_angle_gamma 90.00
_symmetry_space_group_name_H-M 'P 1 m 1'
_symmetry_Int_Tables_number 6
loop_
_symmetry_equiv_pos_as_xyz
'x,y,z'
'x,-y,z'
loop_
_atom_site_label
_atom_site_type_symbol
_atom_site_fract_x
_atom_site_fract_y
_atom_site_fract_z
Nd1 Nd 0.0000 0.0000 0.0000
Dy1 Dy 0.2600 0.5000 0.5238
Pb1 Pb 0.5330 0.5000 0.0657
Pb2 Pb 0.7282 0.0000 0.4603
```

NdDy2Pb: calculated powder diffraction line list (Cu Kα (λ = 1.5418 Å)), based on a GGA-PBE-relaxed structure.

Principal peaks in the range 10° ≤ 2θ ≤ 90°, by angle:
d/Å  intensity
2.877  100
2.572  38
2.350  13
1.819  14
1.735  21
1.537  31
1.439  21
1.174  8
1.150  6
1.128  15

Crystal structure
```
data_NdDy2Pb
_chemical_formula_sum 'Nd1 Dy2 Pb1'
_cell_length_a 3.6380
_cell_length_b 3.6380
_cell_length_c 9.3995
_cell_angle_alpha 90.00
_cell_angle_beta 90.00
_cell_angle_gamma 90.00
_symmetry_space_group_name_H-M 'P 4/m m m'
_symmetry_Int_Tables_number 123
_symmetry_space_group_name_Hall '-P 4 2'
loop_
_atom_site_label
_atom_site_type_symbol
_atom_site_fract_x
_atom_site_fract_y
_atom_site_fract_z
Nd1 Nd 0.0000 0.0000 0.0000
Dy1 Dy 0.5000 0.5000 0.2703
Pb1 Pb 0.0000 0.0000 0.5000
```

NdDyTlPb: calculated powder diffraction line list (Cu Kα (λ = 1.5418 Å)), based on a GGA-PBE-relaxed structure.

Principal peaks in the range 10° ≤ 2θ ≤ 90°, by angle:
d/Å  intensity
2.799  100
2.539  38
2.234  13
1.795  14
1.677  22
1.511  32
1.399  12
1.376  12
1.156  7
1.092  12

Crystal structure
```
data_NdDyTlPb
_chemical_formula_sum 'Nd2 Dy2 Tl2 Pb2'
_cell_length_a 5.0770
_cell_length_b 5.0770
_cell_length_c 8.9361
_cell_angle_alpha 90.00
_cell_angle_beta 90.00
_cell_angle_gamma 90.00
_symmetry_space_group_name_H-M 'I -4 m 2'
_symmetry_Int_Tables_number 119
_symmetry_space_group_name_Hall 'I -4 -2'
loop_
_atom_site_label
_atom_site_type_symbol
_atom_site_fract_x
_atom_site_fract_y
_atom_site_fract_z
Nd1 Nd 0.0000 0.0000 0.0000
Dy1 Dy 0.0000 0.0000 0.5000
Tl1 Tl 0.0000 0.5000 0.2500
Pb1 Pb 0.0000 0.5000 0.7500
```